No. 1
# Pu2MgSi6
Calculated XRD peak list, Cu Kα (weighted mean of Kα1 and Kα2). Input: DFT lattice parameters and positions (PBE).

Peak list (12 most intense, 2θ from 15° to 90°, by angle)
23.14°, 3.844 Å, intensity 13
25.34°, 3.514 Å, intensity 53
27.44°, 3.250 Å, intensity 23
34.58°, 2.594 Å, intensity 100
37.70°, 2.386 Å, intensity 10
44.66°, 2.029 Å, intensity 32
45.97°, 1.974 Å, intensity 12
50.89°, 1.794 Å, intensity 11
54.39°, 1.687 Å, intensity 18
57.68°, 1.598 Å, intensity 23
67.07°, 1.396 Å, intensity 22
75.77°, 1.255 Å, intensity 21

Atomic structure:
```
Pu2MgSi6
1.0
7.0284 0.0000 0.0000
-3.5142 6.0868 0.0000
0.0000 0.0000 3.8444
Pu Mg Si
2 1 6
Direct
0.3333 0.6667 0.0000
0.6667 0.3333 0.0000
0.0000 0.0000 0.0000
0.0000 0.3337 0.5000
0.0000 0.6663 0.5000
0.3337 0.0000 0.5000
0.3337 0.3337 0.5000
0.6663 0.0000 0.5000
0.6663 0.6663 0.5000
```

No. 2
# PuMg3Si2
Calculated XRD peak list, Cu Kα (weighted mean of Kα1 and Kα2). Input: DFT lattice parameters and positions (PBE).

Peak list (12 most intense, 2θ from 15° to 90°, by angle)
20.73°, 4.284 Å, intensity 48
21.61°, 4.112 Å, intensity 42
22.28°, 3.991 Å, intensity 30
23.07°, 3.854 Å, intensity 63
30.13°, 2.966 Å, intensity 64
32.03°, 2.794 Å, intensity 25
33.76°, 2.655 Å, intensity 35
35.30°, 2.542 Å, intensity 100
35.61°, 2.521 Å, intensity 70
37.77°, 2.382 Å, intensity 24
41.86°, 2.158 Å, intensity 26
47.90°, 1.899 Å, intensity 26

Atomic structure:
```
PuMg3Si2
1.0
8.0064 -2.1579 0.0000
8.0064 2.1579 0.0000
-4.5835 0.0000 7.2391
Pu Mg Si
2 6 4
Direct
0.1269 0.1269 0.1273
0.8731 0.8731 0.8727
0.9996 0.9996 0.3344
0.0004 0.0004 0.6656
0.3291 0.3291 0.1316
0.3295 0.3295 0.5264
0.6705 0.6705 0.4736
0.6709 0.6709 0.8684
0.2051 0.2051 0.7052
0.4999 0.4999 0.1418
0.5001 0.5001 0.8582
0.7949 0.7949 0.2948
```

No. 3
# Pu2MgSn8
Calculated XRD peak list, Cu Kα (weighted mean of Kα1 and Kα2). Input: DFT lattice parameters and positions (PBE).

Peak list (12 most intense, 2θ from 15° to 90°, by angle)
28.16°, 3.168 Å, intensity 10
30.40°, 2.940 Å, intensity 15
32.74°, 2.735 Å, intensity 7
33.82°, 2.650 Å, intensity 100
39.11°, 2.303 Å, intensity 36
39.54°, 2.279 Å, intensity 14
56.51°, 1.628 Å, intensity 13
56.83°, 1.620 Å, intensity 20
61.24°, 1.514 Å, intensity 8
67.51°, 1.387 Å, intensity 29
68.09°, 1.377 Å, intensity 9
71.16°, 1.325 Å, intensity 10

Atomic structure:
```
Pu2MgSn8
1.0
4.6061 0.0000 0.0000
0.0000 4.6060 0.0000
-0.0209 0.0000 13.6755
Pu Mg Sn
2 1 8
Direct
0.0006 0.0000 0.1671
0.9994 0.0000 0.8329
0.0000 0.0000 0.5000
0.0000 0.5000 0.0000
0.0012 0.5000 0.3530
0.4993 0.0000 0.6470
0.4992 0.5000 0.8202
0.5000 0.0000 0.0000
0.5007 0.0000 0.3530
0.5008 0.5000 0.1798
0.9988 0.5000 0.6470
```

No. 4
# Pu2MgSn3
Calculated XRD peak list, Cu Kα (weighted mean of Kα1 and Kα2). Input: DFT lattice parameters and positions (PBE).

Peak list (12 most intense, 2θ from 15° to 90°, by angle)
18.94°, 4.686 Å, intensity 47
28.90°, 3.090 Å, intensity 24
30.77°, 2.906 Å, intensity 48
31.36°, 2.852 Å, intensity 23
32.35°, 2.767 Å, intensity 100
33.48°, 2.676 Å, intensity 64
34.23°, 2.619 Å, intensity 35
37.24°, 2.414 Å, intensity 21
37.92°, 2.373 Å, intensity 31
38.42°, 2.343 Å, intensity 40
53.17°, 1.723 Å, intensity 25
60.47°, 1.531 Å, intensity 22

Atomic structure:
```
Pu2MgSn3
1.0
4.8498 -5.2386 0.0000
4.8498 5.2386 0.0000
0.0000 0.0000 6.2260
Pu Mg Sn
4 2 6
Direct
0.0698 0.6164 0.7500
0.3836 0.9302 0.7500
0.6164 0.0698 0.2500
0.9302 0.3836 0.2500
0.3272 0.6728 0.2500
0.6728 0.3272 0.7500
0.0588 0.9412 0.2500
0.3163 0.3163 0.0000
0.3163 0.3163 0.5000
0.6837 0.6837 0.0000
0.6837 0.6837 0.5000
0.9412 0.0588 0.7500
```

No. 5
# PuThMgTl
Calculated XRD peak list, Cu Kα (weighted mean of Kα1 and Kα2). Input: DFT lattice parameters and positions (PBE).

Peak list (12 most intense, 2θ from 15° to 90°, by angle)
20.00°, 4.439 Å, intensity 15
23.14°, 3.844 Å, intensity 14
32.95°, 2.718 Å, intensity 100
38.85°, 2.318 Å, intensity 8
40.65°, 2.219 Å, intensity 4
47.29°, 1.922 Å, intensity 19
51.84°, 1.764 Å, intensity 4
53.29°, 1.719 Å, intensity 6
58.84°, 1.569 Å, intensity 39
69.12°, 1.359 Å, intensity 12
78.72°, 1.216 Å, intensity 17
88.01°, 1.110 Å, intensity 5

Atomic structure:
```
PuThMgTl
1.0
0.0000 3.8440 3.8440
3.8440 0.0000 3.8440
3.8440 3.8440 0.0000
Pu Th Mg Tl
1 1 1 1
Direct
0.0000 0.0000 0.0000
0.5000 0.5000 0.5000
0.7500 0.7500 0.7500
0.2500 0.2500 0.2500
```

No. 6
# Pu6Mg15Tl8
Calculated XRD peak list, Cu Kα (weighted mean of Kα1 and Kα2). Input: DFT lattice parameters and positions (PBE).

Peak list (12 most intense, 2θ from 15° to 90°, by angle)
20.50°, 4.332 Å, intensity 23
21.42°, 4.148 Å, intensity 25
27.05°, 3.296 Å, intensity 91
30.48°, 2.933 Å, intensity 27
32.38°, 2.765 Å, intensity 100
35.34°, 2.540 Å, intensity 84
37.56°, 2.395 Å, intensity 19
52.10°, 1.755 Å, intensity 24
54.17°, 1.693 Å, intensity 24
55.38°, 1.659 Å, intensity 33
64.53°, 1.444 Å, intensity 25
80.16°, 1.197 Å, intensity 20

Atomic structure:
```
Pu6Mg15Tl8
1.0
0.0000 7.1839 7.1839
7.1839 0.0000 7.1839
7.1839 7.1839 0.0000
Pu Mg Tl
6 15 8
Direct
0.1840 0.1840 0.8160
0.1840 0.8160 0.1840
0.1840 0.8160 0.8160
0.8160 0.1840 0.1840
0.8160 0.1840 0.8160
0.8160 0.8160 0.1840
0.0000 0.0000 0.5000
0.0000 0.5000 0.0000
0.0000 0.5000 0.5000
0.1674 0.1674 0.1674
0.1674 0.1674 0.4978
0.1674 0.4978 0.1674
0.4978 0.1674 0.1674
0.5000 0.0000 0.0000
0.5000 0.0000 0.5000
0.5000 0.5000 0.0000
0.5000 0.5000 0.5000
0.5022 0.8326 0.8326
0.8326 0.5022 0.8326
0.8326 0.8326 0.5022
0.8326 0.8326 0.8326
0.1298 0.6234 0.6234
0.3766 0.3766 0.3766
0.3766 0.3766 0.8702
0.3766 0.8702 0.3766
0.6234 0.1298 0.6234
0.6234 0.6234 0.1298
0.6234 0.6234 0.6234
0.8702 0.3766 0.3766
```

No. 7
# PuMg8Zn4
Calculated XRD peak list, Cu Kα (weighted mean of Kα1 and Kα2). Input: DFT lattice parameters and positions (PBE).

Peak list (12 most intense, 2θ from 15° to 90°, by angle)
18.44°, 4.810 Å, intensity 66
25.76°, 3.459 Å, intensity 64
25.98°, 3.430 Å, intensity 79
28.86°, 3.094 Å, intensity 34
31.87°, 2.808 Å, intensity 49
36.75°, 2.446 Å, intensity 64
36.91°, 2.435 Å, intensity 79
37.39°, 2.405 Å, intensity 100
43.94°, 2.060 Å, intensity 23
49.42°, 1.844 Å, intensity 23
53.43°, 1.715 Å, intensity 46
66.60°, 1.404 Å, intensity 25

Atomic structure:
```
PuMg8Zn4
1.0
-4.8916 4.8916 2.7621
4.8916 -4.8916 2.7621
4.8916 4.8916 -2.7621
Pu Mg Zn
1 8 4
Direct
0.0000 0.0000 0.0000
0.0000 0.3462 0.3462
0.0000 0.6538 0.6538
0.2864 0.5000 0.7864
0.3462 0.0000 0.3462
0.5000 0.2864 0.7864
0.5000 0.7136 0.2136
0.6538 0.0000 0.6538
0.7136 0.5000 0.2136
0.0000 0.0000 0.5000
0.0000 0.5000 0.0000
0.5000 0.0000 0.0000
0.5000 0.5000 0.5000
```

No. 8
# PuMg16Zn12
Calculated XRD peak list, Cu Kα (weighted mean of Kα1 and Kα2). Input: DFT lattice parameters and positions (PBE).

Peak list (12 most intense, 2θ from 15° to 90°, by angle)
20.26°, 4.384 Å, intensity 91
20.43°, 4.347 Å, intensity 42
21.74°, 4.088 Å, intensity 42
35.78°, 2.509 Å, intensity 47
36.72°, 2.447 Å, intensity 100
37.06°, 2.426 Å, intensity 53
37.55°, 2.395 Å, intensity 58
39.28°, 2.293 Å, intensity 43
39.98°, 2.255 Å, intensity 70
41.04°, 2.199 Å, intensity 47
42.40°, 2.132 Å, intensity 41
43.57°, 2.077 Å, intensity 42

Atomic structure:
```
PuMg16Zn12
1.0
5.1628 -7.6839 0.0000
5.1628 7.6839 0.0000
-4.9334 0.0000 7.0808
Pu Mg Zn
1 16 12
Direct
0.0000 0.0000 0.0000
0.1902 0.6010 0.5430
0.2219 0.8921 0.2460
0.2304 0.2304 0.8717
0.2620 0.2620 0.4960
0.2766 0.8824 0.9263
0.3120 0.9908 0.6364
0.5824 0.5824 0.2329
0.5862 0.9089 0.8442
0.5952 0.9082 0.2230
0.6010 0.1902 0.5430
0.6066 0.6066 0.6055
0.8824 0.2766 0.9263
0.8921 0.2219 0.2460
0.9082 0.5952 0.2230
0.9089 0.5862 0.8442
0.9908 0.3120 0.6364
0.2237 0.5819 0.0479
0.2399 0.4132 0.2450
0.3757 0.5652 0.8447
0.4132 0.2399 0.2450
0.4345 0.7810 0.4316
0.5652 0.3757 0.8447
0.5819 0.2237 0.0479
0.7205 0.7205 0.0063
0.7810 0.4345 0.4316
0.7935 0.9642 0.6121
0.9488 0.9488 0.3704
0.9642 0.7935 0.6121
```